1.
# La4Pm3Y2
Theoretical X-ray powder pattern, copper Kα. Input: a GGA-PBE-relaxed structure.
Peak positions follow from Bragg's law for the DFT cell and can differ from measured ones.

Crystal structure
a = 6.340 Å, b = 6.354 Å, c = 9.719 Å
α = 71.29°, β = 71.44°, γ = 60.15°
Element x y z (fractional)
1 La 0.166 0.169 0.000
2 La 0.278 0.612 0.665
3 La 0.722 0.388 0.335
4 La 0.834 0.831 0.000
5 Pm 0.390 0.055 0.334
6 Pm 0.500 0.500 0.000
7 Pm 0.610 0.945 0.666
8 Y 0.055 0.720 0.335
9 Y 0.945 0.280 0.665

Top 8 peaks for 10° ≤ 2θ ≤ 90°, low angle first:
d [Å]  Rel. int.
3.005  100
2.984  33
2.605  23
2.594  45
1.844  16
1.832  24
1.570  14
1.566  14

2.
# Li4Sb2Br9
Theoretical X-ray powder pattern, copper Kα. Input: a GGA-PBE-relaxed structure.
Peak positions follow from Bragg's law for the DFT cell and can differ from measured ones.

Crystal structure
a = 7.078 Å, b = 7.136 Å, c = 21.782 Å
α = 90.20°, β = 95.06°, γ = 116.37°
Element x y z (fractional)
1 Li 0.011 0.321 0.048
2 Li 0.121 0.154 0.378
3 Li 0.195 0.494 0.542
4 Li 0.290 0.368 0.867
5 Li 0.710 0.632 0.133
6 Li 0.805 0.506 0.458
7 Li 0.879 0.846 0.622
8 Li 0.989 0.679 0.952
9 Sb 0.439 0.033 0.155
10 Sb 0.489 0.926 0.342
11 Sb 0.511 0.074 0.658
12 Sb 0.561 0.967 0.845
13 Br 0.030 0.680 0.072
14 Br 0.123 0.476 0.425
15 Br 0.194 0.029 0.268
16 Br 0.203 0.168 0.594
17 Br 0.231 0.652 0.788
18 Br 0.317 0.023 0.924
19 Br 0.376 0.328 0.079
20 Br 0.458 0.158 0.435
21 Br 0.491 0.273 0.779
22 Br 0.509 0.727 0.221
23 Br 0.542 0.842 0.565
24 Br 0.624 0.672 0.921
25 Br 0.683 0.977 0.076
26 Br 0.769 0.348 0.212
27 Br 0.797 0.832 0.406
28 Br 0.806 0.971 0.732
29 Br 0.877 0.524 0.575
30 Br 0.970 0.320 0.928

Top 8 peaks for 10° ≤ 2θ ≤ 90°, low angle first:
d [Å]  Rel. int.
6.386  59
6.310  69
5.397  56
3.732  58
3.437  97
3.279  50
3.204  57
2.972  100

3.
# Ba3Tl2Pd2Pb4
Theoretical X-ray powder pattern, copper Kα. Input: a GGA-PBE-relaxed structure.
Peak positions follow from Bragg's law for the DFT cell and can differ from measured ones.

Crystal structure
a = 5.033 Å, b = 5.033 Å, c = 17.020 Å
α = 90.00°, β = 90.00°, γ = 120.00°
Element x y z (fractional)
1 Ba 0.000 0.000 0.000
2 Ba 0.000 0.000 0.304
3 Ba 0.000 0.000 0.696
4 Tl 0.333 0.667 0.183
5 Tl 0.667 0.333 0.817
6 Pd 0.333 0.667 0.592
7 Pd 0.667 0.333 0.408
8 Pb 0.333 0.667 0.433
9 Pb 0.333 0.667 0.875
10 Pb 0.667 0.333 0.125
11 Pb 0.667 0.333 0.567

Top 8 peaks for 10° ≤ 2θ ≤ 90°, low angle first:
d [Å]  Rel. int.
3.456  80
3.045  57
2.683  17
2.516  100
2.124  26
2.034  19
1.749  23
1.453  19

4.
# CsZrPd3
Theoretical X-ray powder pattern, copper Kα. Input: a GGA-PBE-relaxed structure.
Peak positions follow from Bragg's law for the DFT cell and can differ from measured ones.

Crystal structure
a = 5.193 Å, b = 5.193 Å, c = 5.193 Å
α = 90.00°, β = 90.00°, γ = 90.00°
Element x y z (fractional)
1 Cs 0.000 0.000 0.000
2 Zr 0.500 0.500 0.500
3 Pd 0.000 0.500 0.500
4 Pd 0.500 0.000 0.500
5 Pd 0.500 0.500 0.000

Top 8 peaks for 10° ≤ 2θ ≤ 90°, low angle first:
d [Å]  Rel. int.
3.672  22
2.998  86
2.596  100
1.836  70
1.566  36
1.499  24
1.191  15
1.161  31

5.
# Tb2ZnPt9
Theoretical X-ray powder pattern, copper Kα. Input: a GGA-PBE-relaxed structure.
Peak positions follow from Bragg's law for the DFT cell and can differ from measured ones.

Crystal structure
a = 4.090 Å, b = 4.090 Å, c = 12.068 Å
α = 90.00°, β = 90.00°, γ = 90.00°
Element x y z (fractional)
1 Tb 0.000 0.000 0.173
2 Tb 0.000 0.000 0.827
3 Zn 0.000 0.000 0.500
4 Pt 0.000 0.500 0.000
5 Pt 0.000 0.500 0.347
6 Pt 0.000 0.500 0.653
7 Pt 0.500 0.000 0.000
8 Pt 0.500 0.000 0.347
9 Pt 0.500 0.000 0.653
10 Pt 0.500 0.500 0.173
11 Pt 0.500 0.500 0.500
12 Pt 0.500 0.500 0.827

Top 8 peaks for 10° ≤ 2θ ≤ 90°, low angle first:
d [Å]  Rel. int.
2.348  100
2.045  34
2.011  15
1.446  11
1.434  20
1.231  26
1.217  10
1.174  10

6.
# SrAcRh
Theoretical X-ray powder pattern, copper Kα. Input: a GGA-PBE-relaxed structure.
Peak positions follow from Bragg's law for the DFT cell and can differ from measured ones.

Crystal structure
a = 4.432 Å, b = 8.433 Å, c = 7.375 Å
α = 90.00°, β = 126.86°, γ = 90.00°
Element x y z (fractional)
1 Sr 0.000 0.122 0.250
2 Sr 0.000 0.878 0.750
3 Ac 0.000 0.401 0.750
4 Ac 0.000 0.599 0.250
5 Rh 0.500 0.358 0.250
6 Rh 0.500 0.642 0.750

Top 8 peaks for 10° ≤ 2θ ≤ 90°, low angle first:
d [Å]  Rel. int.
8.433  100
3.923  25
3.544  35
3.431  29
3.055  95
2.950  46
2.122  68
1.772  21